Simulated X-ray powder pattern
Compound: BaHoCo2O6
Radiation: a wavelength of 1.5418 Å
Structure: a crystal structure in OQMD, relaxed with GGA+U
Intensities are scaled so that the largest is 100.

Crystal structure
```
data_BaHoCo2O6
_chemical_formula_sum 'Ba1 Ho1 Co2 O6'
_cell_length_a 3.8082
_cell_length_b 3.8082
_cell_length_c 7.6788
_cell_angle_alpha 90.00
_cell_angle_beta 90.00
_cell_angle_gamma 90.00
_space_group_name_H-M_alt 'P 4/m m m'
_space_group_IT_number 123
_space_group_name_Hall '-P 4 2'
loop_
_atom_site_label
_atom_site_type_symbol
_atom_site_fract_x
_atom_site_fract_y
_atom_site_fract_z
Ba1 Ba 0.0000 0.0000 0.0000
Ho1 Ho 0.0000 0.0000 0.5000
Co1 Co 0.5000 0.5000 0.2543
O1 O 0.0000 0.5000 0.2841
O2 O 0.5000 0.5000 0.0000
O3 O 0.5000 0.5000 0.5000
```

Most intense lines, 10° ≤ 2θ ≤ 90°, by angle:
two_theta  intensity
23.36  14
33.13  100
33.27  49
40.94  26
47.35  15
47.77  31
59.10  21
59.36  38
69.54  17
79.57  16